1.
Computed powder diffraction line list of BaGaBrF4 for Cu Kα (λ = 1.5418 Å), from a DFT-relaxed cell (PBE, Alexandria).
Neutral-atom scattering factors, no anomalous dispersion.

Crystal structure
Cell lengths 7.0407, 7.0407, 7.9815 Å; angles 101.54, 101.54, 57.27 degrees
Fractional coordinates of all 14 atoms:
Ba: 0.1699 0.1699 0.3249
Ba: 0.8301 0.8301 0.6751
Ga: 0.1907 0.1907 0.7891
Ga: 0.8093 0.8093 0.2109
Br: 0.3904 0.3904 0.7918
Br: 0.6096 0.6096 0.2082
F: 0.0393 0.0393 0.7845
F: 0.0421 0.6161 0.3705
F: 0.2212 0.2212 0.0272
F: 0.3839 0.9579 0.6295
F: 0.6161 0.0421 0.3705
F: 0.7788 0.7788 0.9728
F: 0.9579 0.3839 0.6295
F: 0.9607 0.9607 0.2155

Main lines, in order of rising 2θ (2θ from 5° to 70°):
| 2θ (°) | intensity |
| --- | --- |
| 14.7 | 82 |
| 16.4 | 51 |
| 22.9 | 78 |
| 25.8 | 66 |
| 26.0 | 62 |
| 26.4 | 100 |
| 35.2 | 49 |
| 39.8 | 51 |
| 43.0 | 44 |
| 50.8 | 39 |


2.
Computed powder diffraction line list of BaNaBrF2 for Cu Kα (λ = 1.5418 Å), from a DFT-relaxed cell (PBE, Alexandria).
Neutral-atom scattering factors, no anomalous dispersion.

Crystal structure
Cell lengths 4.3969, 4.3969, 6.7210 Å; angles 90.00, 90.00, 90.00 degrees
Fractional coordinates of all 5 atoms:
Ba: 0.0000 0.0000 0.0000
Na: 0.5000 0.5000 0.3251
Br: 0.5000 0.5000 0.7604
F: 0.0000 0.5000 0.2052
F: 0.5000 0.0000 0.2052

Main lines, in order of rising 2θ (2θ from 5° to 70°):
| 2θ (°) | intensity |
| --- | --- |
| 13.2 | 87 |
| 24.2 | 100 |
| 28.7 | 56 |
| 31.7 | 51 |
| 33.6 | 100 |
| 41.1 | 41 |
| 48.2 | 30 |
| 50.2 | 23 |
| 54.0 | 50 |
| 62.9 | 26 |


3.
Computed powder diffraction line list of BaPb2BrF5 for Cu Kα (λ = 1.5418 Å), from a DFT-relaxed cell (PBE, Alexandria).
Neutral-atom scattering factors, no anomalous dispersion.

Crystal structure
Cell lengths 6.0328, 6.0328, 9.9110 Å; angles 90.00, 90.00, 90.00 degrees
Fractional coordinates of all 18 atoms:
Ba: 0.2500 0.7500 0.0000
Ba: 0.7500 0.2500 0.0000
Pb: 0.2500 0.2500 0.2746
Pb: 0.2500 0.2500 0.6791
Pb: 0.7500 0.7500 0.3209
Pb: 0.7500 0.7500 0.7254
Br: 0.2500 0.7500 0.5000
Br: 0.7500 0.2500 0.5000
F: 0.0156 0.0156 0.8128
F: 0.0156 0.4844 0.8128
F: 0.2500 0.2500 0.0394
F: 0.4844 0.0156 0.8128
F: 0.4844 0.4844 0.8128
F: 0.5156 0.5156 0.1872
F: 0.5156 0.9844 0.1872
F: 0.7500 0.7500 0.9606
F: 0.9844 0.5156 0.1872
F: 0.9844 0.9844 0.1872

Main lines, in order of rising 2θ (2θ from 5° to 70°):
| 2θ (°) | intensity |
| --- | --- |
| 20.8 | 16 |
| 22.7 | 13 |
| 27.6 | 100 |
| 29.6 | 49 |
| 34.3 | 14 |
| 40.5 | 24 |
| 42.4 | 30 |
| 47.5 | 10 |
| 51.3 | 37 |
| 61.5 | 10 |


4.
Computed powder diffraction line list of Ba6Pt2Br3F for Cu Kα (λ = 1.5418 Å), from a DFT-relaxed cell (PBE, Alexandria).
Neutral-atom scattering factors, no anomalous dispersion.

Crystal structure
Cell lengths 7.7808, 7.7808, 8.7125 Å; angles 98.60, 98.60, 119.96 degrees
Fractional coordinates of all 12 atoms:
Ba: 0.0695 0.3998 0.2090
Ba: 0.2612 0.2612 0.7903
Ba: 0.3998 0.0695 0.2090
Ba: 0.6002 0.9305 0.7910
Ba: 0.7388 0.7388 0.2097
Ba: 0.9305 0.6002 0.7910
Pt: 0.3334 0.6666 0.0000
Pt: 0.6666 0.3334 0.0000
Br: 0.1679 0.8321 0.5000
Br: 0.5000 0.5000 0.5000
Br: 0.8321 0.1679 0.5000
F: 0.0000 0.0000 0.0000

Main lines, in order of rising 2θ (2θ from 5° to 70°):
| 2θ (°) | intensity |
| --- | --- |
| 10.6 | 18 |
| 27.0 | 100 |
| 34.1 | 10 |
| 36.9 | 37 |
| 40.1 | 37 |
| 46.3 | 7 |
| 49.0 | 19 |
| 55.7 | 11 |
| 60.7 | 12 |
| 65.2 | 11 |


5.
Computed powder diffraction line list of Rb2BaBr6F for Cu Kα (λ = 1.5418 Å), from a DFT-relaxed cell (PBE, Alexandria).
Neutral-atom scattering factors, no anomalous dispersion.

Crystal structure
Cell lengths 8.2267, 8.2267, 8.2267 Å; angles 114.15, 114.15, 100.47 degrees
Fractional coordinates of all 10 atoms:
Rb: 0.2500 0.7500 0.5000
Rb: 0.7500 0.2500 0.5000
Ba: 0.0000 0.0000 0.0000
Br: 0.2446 0.2446 0.4892
Br: 0.2446 0.7554 0.0000
Br: 0.2999 0.2999 0.0000
Br: 0.7001 0.7001 0.0000
Br: 0.7554 0.2446 0.0000
Br: 0.7554 0.7554 0.5108
F: 0.5000 0.5000 0.0000

Main lines, in order of rising 2θ (2θ from 5° to 70°):
| 2θ (°) | intensity |
| --- | --- |
| 14.0 | 17 |
| 22.0 | 21 |
| 26.2 | 85 |
| 27.3 | 21 |
| 28.2 | 100 |
| 34.0 | 42 |
| 40.3 | 37 |
| 44.8 | 53 |
| 48.7 | 30 |
| 53.8 | 23 |


6.
Computed powder diffraction line list of RbBaBr2F8 for Cu Kα (λ = 1.5418 Å), from a DFT-relaxed cell (PBE, Alexandria).
Neutral-atom scattering factors, no anomalous dispersion.

Crystal structure
Cell lengths 6.9997, 6.9997, 6.6629 Å; angles 92.99, 92.99, 50.89 degrees
Fractional coordinates of all 12 atoms:
Rb: 0.0000 0.0000 0.0000
Ba: 0.5000 0.5000 0.5000
Br: 0.2815 0.2815 0.9214
Br: 0.7185 0.7185 0.0786
F: 0.1431 0.6261 0.7260
F: 0.1680 0.1680 0.7265
F: 0.3739 0.8569 0.2740
F: 0.3932 0.3932 0.1322
F: 0.6068 0.6068 0.8678
F: 0.6261 0.1431 0.7260
F: 0.8320 0.8320 0.2735
F: 0.8569 0.3739 0.2740

Main lines, in order of rising 2θ (2θ from 5° to 70°):
| 2θ (°) | intensity |
| --- | --- |
| 13.3 | 23 |
| 19.9 | 35 |
| 21.4 | 85 |
| 28.6 | 100 |
| 29.7 | 46 |
| 29.7 | 28 |
| 35.4 | 26 |
| 40.4 | 30 |
| 40.5 | 29 |
| 41.5 | 27 |


7.
Computed powder diffraction line list of Ba8Rh3Br4F for Cu Kα (λ = 1.5418 Å), from a DFT-relaxed cell (PBE, Alexandria).
Neutral-atom scattering factors, no anomalous dispersion.

Crystal structure
Cell lengths 8.9840, 8.9840, 9.7156 Å; angles 117.55, 117.55, 59.97 degrees
Fractional coordinates of all 16 atoms:
Ba: 0.2307 0.7364 0.7034
Ba: 0.2398 0.2398 0.7194
Ba: 0.2628 0.2628 0.2959
Ba: 0.2636 0.7693 0.2966
Ba: 0.7364 0.2307 0.7034
Ba: 0.7372 0.7372 0.7041
Ba: 0.7602 0.7602 0.2806
Ba: 0.7693 0.2636 0.2966
Rh: 0.0000 0.0000 0.5000
Rh: 0.0000 0.5000 0.5000
Rh: 0.5000 0.0000 0.5000
Br: 0.0000 0.0000 0.0000
Br: 0.0000 0.5000 0.0000
Br: 0.5000 0.0000 0.0000
Br: 0.5000 0.5000 0.0000
F: 0.5000 0.5000 0.5000

Main lines, in order of rising 2θ (2θ from 5° to 70°):
| 2θ (°) | intensity |
| --- | --- |
| 10.8 | 8 |
| 27.1 | 100 |
| 34.4 | 7 |
| 37.2 | 33 |
| 40.2 | 37 |
| 49.1 | 19 |
| 55.9 | 12 |
| 61.2 | 10 |
| 65.2 | 7 |
| 65.3 | 11 |


8.
Computed powder diffraction line list of BaTlBrF2 for Cu Kα (λ = 1.5418 Å), from a DFT-relaxed cell (PBE, Alexandria).
Neutral-atom scattering factors, no anomalous dispersion.

Crystal structure
Cell lengths 7.7383, 4.5928, 9.0486 Å; angles 90.00, 109.40, 90.00 degrees
Fractional coordinates of all 10 atoms:
Ba: 0.1889 0.2500 0.4289
Ba: 0.8111 0.7500 0.5711
Tl: 0.1932 0.2500 0.9372
Tl: 0.8068 0.7500 0.0628
Br: 0.4470 0.7500 0.6883
Br: 0.5530 0.2500 0.3117
F: 0.0114 0.2500 0.1324
F: 0.0157 0.7500 0.3873
F: 0.9843 0.2500 0.6127
F: 0.9886 0.7500 0.8676

Main lines, in order of rising 2θ (2θ from 5° to 70°):
| 2θ (°) | intensity |
| --- | --- |
| 22.9 | 100 |
| 23.4 | 27 |
| 26.3 | 76 |
| 27.5 | 48 |
| 28.2 | 36 |
| 28.6 | 50 |
| 31.3 | 43 |
| 39.2 | 32 |
| 41.1 | 32 |
| 47.9 | 30 |